1.
This entry pairs a crystal structure of LiAg3F8 with its computed powder diffractogram. Radiation: copper Kα. Structure: a cell relaxed with PBE.
Kinematic intensities with the Lorentz-polarization factor, no thermal factor.

Atomic structure:
a b c (Å): 5.7088 6.9529 9.9156
angles (deg): 77.41 73.30 65.79
Space group P-1 (No. 2)
One atom of each set of equivalent atoms:
Li  0.1230  0.2505  0.2503 x2
Ag  0.1939  0.1398  0.8801 x2
Ag  0.2868  0.6402  0.3798 x2
Ag  0.5000  0.0000  0.5000 x1
Ag  0.5000  0.5000  0.0000 x1
F  0.0091  0.3221  0.4444 x2
F  0.0380  0.1181  0.7215 x2
F  0.2209  0.7978  0.9650 x2
F  0.2504  0.4823  0.1902 x2
F  0.2753  0.1783  0.0560 x2
F  0.3760  0.3817  0.7785 x2
F  0.4205  0.0175  0.3106 x2
F  0.4830  0.7027  0.5353 x2

Peak list (8 most intense, 2θ = 10–90°, low angle first)
| 2θ/deg | d_spacing | I (rel.) |
| --- | --- | --- |
| 16.00 | 5.541 | 21 |
| 17.47 | 5.075 | 30 |
| 27.21 | 3.278 | 100 |
| 28.56 | 3.125 | 77 |
| 28.79 | 3.101 | 20 |
| 45.31 | 2.002 | 22 |
| 45.63 | 1.988 | 24 |
| 46.35 | 1.959 | 26 |

=====

2.
This entry pairs a crystal structure of NpSb2O6 with its computed powder diffractogram. Radiation: copper Kα. Structure: a cell relaxed with PBE.
Kinematic intensities with the Lorentz-polarization factor, no thermal factor.

Atomic structure:
a b c (Å): 5.8196 7.0429 10.8928
angles (deg): 90.00 121.56 90.00
Space group P2_1/c (No. 14)
One atom of each set of equivalent atoms:
Np  0.0000  0.0000  0.0000 x2
Sb  0.2573  0.0288  0.7464 x4
O  0.0602  0.1127  0.8406 x4
O  0.1755  0.2367  0.1272 x4
O  0.3803  0.6220  0.5970 x4

Peak list (8 most intense, 2θ = 10–90°, low angle first)
| 2θ/deg | d_spacing | I (rel.) |
| --- | --- | --- |
| 15.80 | 5.611 | 100 |
| 17.89 | 4.959 | 32 |
| 18.10 | 4.902 | 39 |
| 25.29 | 3.521 | 44 |
| 27.52 | 3.241 | 84 |
| 27.79 | 3.210 | 82 |
| 30.73 | 2.910 | 28 |
| 40.21 | 2.243 | 26 |

=====

3.
This entry pairs a crystal structure of RbAgTe3As with its computed powder diffractogram. Radiation: copper Kα. Structure: a cell relaxed with PBE.
Kinematic intensities with the Lorentz-polarization factor, no thermal factor.

Atomic structure:
a b c (Å): 10.0548 4.0715 10.6663
angles (deg): 90.00 110.99 90.00
Space group P2_1/m (No. 11)
One atom of each set of equivalent atoms:
Rb  0.2087  0.2500  0.2579 x2
Ag  0.0588  0.2500  0.6030 x2
Te  0.1341  0.2500  0.8856 x2
Te  0.2394  0.7500  0.5619 x2
Te  0.4698  0.7500  0.1506 x2
As  0.3359  0.7500  0.8779 x2

Peak list (8 most intense, 2θ = 10–90°, low angle first)
| 2θ/deg | d_spacing | I (rel.) |
| --- | --- | --- |
| 10.38 | 8.523 | 100 |
| 28.29 | 3.155 | 86 |
| 29.03 | 3.076 | 50 |
| 31.64 | 2.827 | 41 |
| 36.05 | 2.491 | 32 |
| 40.94 | 2.205 | 37 |
| 44.50 | 2.036 | 29 |
| 45.23 | 2.005 | 39 |

=====

4.
This entry pairs a crystal structure of CaBr2O with its computed powder diffractogram. Radiation: copper Kα. Structure: a cell relaxed with PBE.
Kinematic intensities with the Lorentz-polarization factor, no thermal factor.

Atomic structure:
a b c (Å): 7.2644 3.9636 7.0910
angles (deg): 90.00 103.95 90.00
Space group Pc (No. 7)
One atom of each set of equivalent atoms:
Ca  0.0000  0.2495  0.0000 x2
Br  0.3499  0.1087  0.7200 x2
Br  0.7373  0.2394  0.2642 x2
O  0.0956  0.2561  0.6945 x2

Peak list (8 most intense, 2θ = 10–90°, low angle first)
| 2θ/deg | d_spacing | I (rel.) |
| --- | --- | --- |
| 25.91 | 3.438 | 85 |
| 27.48 | 3.245 | 33 |
| 30.29 | 2.951 | 100 |
| 31.65 | 2.827 | 25 |
| 34.19 | 2.623 | 34 |
| 38.30 | 2.350 | 28 |
| 40.83 | 2.210 | 21 |
| 44.78 | 2.024 | 30 |

=====

5.
This entry pairs a crystal structure of SrHg3Pb2 with its computed powder diffractogram. Radiation: copper Kα. Structure: a cell relaxed with PBE.
Kinematic intensities with the Lorentz-polarization factor, no thermal factor.

Atomic structure:
a b c (Å): 11.3800 8.9752 7.3640
angles (deg): 90.00 90.00 90.00
Space group Cmcm (No. 63)
One atom of each set of equivalent atoms:
Sr  0.0000  0.1346  0.2500 x4
Hg  0.0000  0.4849  0.2500 x4
Hg  0.1334  0.2154  0.7500 x8
Pb  0.2260  0.5000  0.0000 x8

Peak list (8 most intense, 2θ = 10–90°, low angle first)
| 2θ/deg | d_spacing | I (rel.) |
| --- | --- | --- |
| 17.42 | 5.091 | 44 |
| 28.27 | 3.157 | 75 |
| 28.88 | 3.091 | 90 |
| 30.91 | 2.893 | 45 |
| 31.43 | 2.846 | 66 |
| 35.26 | 2.546 | 100 |
| 35.42 | 2.535 | 40 |
| 37.43 | 2.403 | 87 |

=====

6.
This entry pairs a crystal structure of LiCdBr2 with its computed powder diffractogram. Radiation: copper Kα. Structure: a cell relaxed with PBE.
Kinematic intensities with the Lorentz-polarization factor, no thermal factor.

Atomic structure:
a b c (Å): 8.2371 7.9534 4.3730
angles (deg): 90.00 118.38 90.00
Space group C2/m (No. 12)
One atom of each set of equivalent atoms:
Li  0.0000  0.0000  0.0000 x2
Cd  0.0000  0.5000  0.0000 x2
Br  0.2500  0.2500  0.0000 x4

Peak list (8 most intense, 2θ = 10–90°, low angle first)
| 2θ/deg | d_spacing | I (rel.) |
| --- | --- | --- |
| 16.55 | 5.357 | 42 |
| 23.12 | 3.847 | 65 |
| 23.25 | 3.826 | 19 |
| 33.42 | 2.681 | 100 |
| 45.62 | 1.988 | 13 |
| 47.53 | 1.913 | 18 |
| 47.71 | 1.906 | 18 |
| 51.75 | 1.766 | 14 |

=====

7.
This entry pairs a crystal structure of Cs3Ho2MnSe6 with its computed powder diffractogram. Radiation: copper Kα. Structure: a cell relaxed with PBE.
Kinematic intensities with the Lorentz-polarization factor, no thermal factor.

Atomic structure:
a b c (Å): 7.3770 12.2809 8.7075
angles (deg): 90.00 107.34 90.00
Space group C2/m (No. 12)
One atom of each set of equivalent atoms:
Cs  0.0000  0.0000  0.0000 x2
Cs  0.0000  0.3263  0.0000 x4
Ho  0.0000  0.1625  0.5000 x4
Mn  0.0000  0.5000  0.5000 x2
Se  0.2092  0.3472  0.6704 x8
Se  0.2288  0.0000  0.6963 x4

Peak list (8 most intense, 2θ = 10–90°, low angle first)
| 2θ/deg | d_spacing | I (rel.) |
| --- | --- | --- |
| 21.38 | 4.156 | 18 |
| 27.91 | 3.197 | 60 |
| 28.86 | 3.093 | 100 |
| 38.13 | 2.360 | 47 |
| 42.91 | 2.108 | 38 |
| 44.25 | 2.047 | 17 |
| 53.13 | 1.724 | 18 |
| 57.64 | 1.599 | 16 |

=====

8.
This entry pairs a crystal structure of Pr2NdSm2Ho with its computed powder diffractogram. Radiation: copper Kα. Structure: a cell relaxed with PBE.
Kinematic intensities with the Lorentz-polarization factor, no thermal factor.

Atomic structure:
a b c (Å): 7.1252 5.7651 9.9692
angles (deg): 90.00 90.00 90.00
Space group Pmma (No. 51)
One atom of each set of equivalent atoms:
Pr  0.0000  0.0000  0.0000 x2
Pr  0.2500  0.5000  0.1745 x2
Nd  0.2500  0.0000  0.6603 x2
Sm  0.2500  0.0000  0.3326 x2
Sm  0.2500  0.5000  0.8345 x2
Ho  0.0000  0.5000  0.5000 x2

Peak list (8 most intense, 2θ = 10–90°, low angle first)
| 2θ/deg | d_spacing | I (rel.) |
| --- | --- | --- |
| 30.84 | 2.899 | 92 |
| 31.05 | 2.880 | 100 |
| 44.33 | 2.043 | 34 |
| 55.11 | 1.667 | 36 |
| 55.24 | 1.663 | 20 |
| 61.18 | 1.515 | 29 |
| 64.73 | 1.440 | 12 |
| 78.72 | 1.216 | 14 |

=====

9.
This entry pairs a crystal structure of La3Ga9Ni2 with its computed powder diffractogram. Radiation: copper Kα. Structure: a cell relaxed with PBE.
Kinematic intensities with the Lorentz-polarization factor, no thermal factor.

Atomic structure:
a b c (Å): 4.3407 10.0160 12.5648
angles (deg): 90.00 90.00 90.00
Space group Immm (No. 71)
One atom of each set of equivalent atoms:
La  0.0000  0.0000  0.0000 x2
La  0.0000  0.0000  0.3178 x4
Ga  0.0000  0.2776  0.1237 x8
Ga  0.0000  0.3649  0.3379 x8
Ga  0.0000  0.5000  0.0000 x2
Ni  0.0000  0.2229  0.5000 x4

Peak list (8 most intense, 2θ = 10–90°, low angle first)
| 2θ/deg | d_spacing | I (rel.) |
| --- | --- | --- |
| 29.64 | 3.014 | 25 |
| 33.87 | 2.646 | 42 |
| 34.35 | 2.611 | 26 |
| 34.74 | 2.582 | 100 |
| 41.59 | 2.171 | 51 |
| 43.20 | 2.094 | 17 |
| 56.03 | 1.641 | 17 |
| 63.71 | 1.461 | 22 |